No. 1
Simulated X-ray diffraction stick pattern
Compound: Na2MgNi5O10
Radiation: copper Kα
Structure: a structure optimized by DFT (GGA+U)
Peak positions follow from Bragg's law for the DFT cell and can differ from measured ones.

abc: 5.0138 5.7462 7.6364
angles: 111.68 100.66 100.89
Space group P1 (No. 1)
One atom of each set of equivalent atoms:
Na 0.0000 0.0000 0.0000 x1
Na 0.4243 0.8457 0.8401 x1
Mg 0.2116 0.4062 0.4159 x1
Ni 0.0362 0.4546 0.9397 x1
Ni 0.2406 0.8599 0.3443 x1
Ni 0.4398 0.2644 0.7356 x1
Ni 0.6358 0.6385 0.1529 x1
Ni 0.8395 0.0604 0.5384 x1
O 0.1568 0.4177 0.6775 x1
O 0.1846 0.9284 0.5908 x1
O 0.3129 0.7835 0.0979 x1
O 0.3337 0.2911 0.9652 x1
O 0.5003 0.2029 0.4833 x1
O 0.5244 0.6993 0.3937 x1
O 0.7178 0.5905 0.9009 x1
O 0.7503 0.1348 0.7954 x1
O 0.9554 0.0115 0.2897 x1
O 0.9769 0.5240 0.2259 x1

The 12 most intense peaks (2θ from 10° to 80°), low angle first:
2θ/deg  d_spacing  intensity  h k l
16.73  5.298  1000  0 1 -1
33.84  2.649  128  0 2 -2
35.81  2.507  84  -1 1 2
36.58  2.457  168  2 0 -1
36.95  2.433  127  1 1 1
37.13  2.421  117  2 -1 0
38.90  2.315  205  1 0 -3
44.73  2.026  221  1 2 0
45.01  2.014  218  2 -2 1
48.64  1.872  135  1 1 -4
55.94  1.644  66  2 2 -3
64.28  1.449  67  3 0 1

No. 2
Simulated X-ray diffraction stick pattern
Compound: Na4MgNi5O10
Radiation: copper Kα
Structure: a structure optimized by DFT (GGA+U)
Peak positions follow from Bragg's law for the DFT cell and can differ from measured ones.

abc: 5.1973 6.1134 6.9728
angles: 104.74 98.84 105.97
Space group P-1 (No. 2)
One atom of each set of equivalent atoms:
Na 0.1046 0.2027 0.2071 x2
Na 0.2919 0.5944 0.5901 x2
Mg 0.5000 0.0000 0.0000 x1
Ni 0.0996 0.7024 0.1930 x2
Ni 0.2977 0.0994 0.6059 x2
Ni 0.5000 0.5000 0.0000 x1
O 0.0045 0.7915 0.4808 x2
O 0.2232 0.6342 0.9180 x2
O 0.2332 0.1844 0.9086 x2
O 0.4226 0.0262 0.3028 x2
O 0.4288 0.5815 0.2697 x2

The 12 most intense peaks (2θ from 10° to 80°), low angle first:
2θ/deg  d_spacing  intensity  h k l
17.36  5.108  1000  0 1 -1
35.15  2.553  348  0 2 -2
36.28  2.476  216  2 0 -1
36.45  2.465  211  -1 2 1
36.64  2.453  204  1 0 2
41.08  2.197  617  1 0 -3
42.34  2.135  556  1 2 0
42.47  2.129  549  2 -2 1
59.33  1.558  163  2 2 -3
59.92  1.544  157  1 -2 4
61.20  1.514  161  -3 2 2
61.58  1.506  160  0 2 3

No. 3
Simulated X-ray diffraction stick pattern
Compound: Na2MgNi5O10
Radiation: copper Kα
Structure: a structure optimized by DFT (GGA+U)
Peak positions follow from Bragg's law for the DFT cell and can differ from measured ones.

abc: 4.9514 6.1983 6.8835
angles: 108.82 99.07 101.94
Space group P-1 (No. 2)
One atom of each set of equivalent atoms:
Na 0.1525 0.2989 0.2925 x2
Mg 0.5000 0.0000 0.0000 x1
Ni 0.1086 0.7176 0.1889 x2
Ni 0.2977 0.0905 0.6041 x2
Ni 0.5000 0.5000 0.0000 x1
O 0.0218 0.7917 0.4555 x2
O 0.2089 0.6364 0.9289 x2
O 0.2283 0.1987 0.9210 x2
O 0.4131 0.0346 0.3023 x2
O 0.4368 0.6098 0.2705 x2

The 12 most intense peaks (2θ from 10° to 80°), low angle first:
2θ/deg  d_spacing  intensity  h k l
16.78  5.282  1000  0 1 -1
33.94  2.641  130  0 2 -2
35.86  2.504  111  1 1 1
36.46  2.464  120  -1 1 2
37.17  2.419  83  2 -1 0
37.46  2.401  89  2 0 -1
38.15  2.359  85  -1 2 1
41.64  2.169  258  1 2 0
42.55  2.124  224  1 0 -3
44.38  2.041  244  2 -2 1
53.22  1.721  70  1 3 -1
57.86  1.594  72  2 2 -3

No. 4
Simulated X-ray diffraction stick pattern
Compound: Na6MgNi2O6
Radiation: copper Kα
Structure: a structure optimized by DFT (GGA+U)
Peak positions follow from Bragg's law for the DFT cell and can differ from measured ones.

abc: 6.1639 6.4093 6.5068
angles: 118.20 90.40 90.62
Space group P-1 (No. 2)
One atom of each set of equivalent atoms:
Na 0.1272 0.3342 0.3401 x2
Na 0.2153 0.8808 0.3505 x2
Na 0.2185 0.0732 0.8793 x2
Mg 0.0000 0.5000 0.0000 x1
Ni 0.3677 0.5197 0.8415 x2
O 0.1455 0.7724 0.9532 x2
O 0.1473 0.2648 0.6527 x2
O 0.3190 0.4758 0.1394 x2

The 12 most intense peaks (2θ from 10° to 80°), low angle first:
2θ/deg  d_spacing  intensity  h k l
15.45  5.734  756  0 0 1
15.69  5.648  1000  0 1 0
16.00  5.541  494  0 1 -1
21.02  4.227  237  1 0 -1
21.57  4.120  431  1 1 -1
31.64  2.828  441  1 2 -1
34.70  2.585  595  1 0 2
35.50  2.529  329  1 -2 2
39.58  2.277  239  -2 1 1
41.81  2.161  307  0 2 1
42.80  2.113  308  0 2 -3
47.17  1.927  237  3 -1 1

No. 5
Simulated X-ray diffraction stick pattern
Compound: Na2MgNi5O10
Radiation: copper Kα
Structure: a structure optimized by DFT (GGA+U)
Peak positions follow from Bragg's law for the DFT cell and can differ from measured ones.

abc: 4.9366 6.2063 6.7338
angles: 107.33 95.93 103.06
Space group P1 (No. 1)
One atom of each set of equivalent atoms:
Na 0.0000 0.0000 0.0000 x1
Na 0.1890 0.3737 0.3766 x1
Mg 0.4043 0.7742 0.7778 x1
Ni 0.1982 0.8796 0.3867 x1
Ni 0.3949 0.2797 0.7842 x1
Ni 0.5979 0.6847 0.1876 x1
Ni 0.7924 0.0705 0.5848 x1
Ni 0.9985 0.4952 0.9804 x1
O 0.1029 0.9412 0.6578 x1
O 0.1164 0.4276 0.7156 x1
O 0.2896 0.3640 0.0526 x1
O 0.3092 0.8146 0.1098 x1
O 0.4734 0.1752 0.5036 x1
O 0.4813 0.7487 0.4669 x1
O 0.6734 0.1297 0.8482 x1
O 0.6900 0.6223 0.9083 x1
O 0.9060 0.0071 0.3222 x1
O 0.9154 0.5825 0.2590 x1

The 12 most intense peaks (2θ from 10° to 80°), low angle first:
2θ/deg  d_spacing  intensity  h k l
17.15  5.172  1000  0 1 -1
34.69  2.586  128  0 2 -2
34.90  2.571  122  1 1 1
36.82  2.441  80  -1 1 2
37.02  2.429  168  1 0 2
37.86  2.376  81  -1 2 1
38.12  2.361  83  2 0 -1
41.15  2.194  330  1 2 0
43.72  2.070  265  1 0 -3
43.84  2.065  263  2 -2 1
56.25  1.635  103  1 1 -4
66.46  1.407  93  -3 2 2

No. 6
Simulated X-ray diffraction stick pattern
Compound: Na4MgNi5O10
Radiation: copper Kα
Structure: a structure optimized by DFT (GGA+U)
Peak positions follow from Bragg's law for the DFT cell and can differ from measured ones.

abc: 6.2301 6.8873 6.9728
angles: 111.80 93.44 113.92
Space group P1 (No. 1)
One atom of each set of equivalent atoms:
Na 0.0000 0.0000 0.0000 x1
Na 0.0547 0.3589 0.4079 x1
Na 0.4340 0.8314 0.7889 x1
Na 0.6775 0.5312 0.5762 x1
Mg 0.1462 0.5734 0.9565 x1
Ni 0.2100 0.0781 0.6103 x1
Ni 0.4944 0.4939 0.9904 x1
Ni 0.6435 0.8850 0.3920 x1
Ni 0.7430 0.2357 0.8031 x1
Ni 0.9370 0.6532 0.2548 x1
O 0.0050 0.9918 0.3518 x1
O 0.1231 0.7569 0.5387 x1
O 0.2878 0.4157 0.7262 x1
O 0.4117 0.1731 0.8784 x1
O 0.4877 0.7896 0.1045 x1
O 0.5995 0.5683 0.2757 x1
O 0.6020 0.1566 0.5229 x1
O 0.7688 0.9563 0.6786 x1
O 0.8327 0.5777 0.9133 x1
O 0.9638 0.3481 0.0725 x1

The 12 most intense peaks (2θ from 10° to 80°), low angle first:
2θ/deg  d_spacing  intensity  h k l
15.88  5.580  1000  0 1 -1
18.60  4.771  87  1 0 -1
25.21  3.533  70  1 1 -1
28.72  3.108  93  2 -1 0
32.05  2.792  403  2 0 -1
33.91  2.644  100  2 -2 1
35.48  2.530  71  -1 1 2
35.65  2.518  110  1 1 1
42.80  2.113  235  1 -3 0
43.70  2.071  217  1 -1 3
59.55  1.552  76  2 -4 3
66.01  1.415  66  0 2 3

No. 7
Simulated X-ray diffraction stick pattern
Compound: Na6MgNi2O6
Radiation: copper Kα
Structure: a structure optimized by DFT (GGA+U)
Peak positions follow from Bragg's law for the DFT cell and can differ from measured ones.

abc: 5.8051 6.1069 6.1739
angles: 111.14 91.43 95.42
Space group P-1 (No. 2)
One atom of each set of equivalent atoms:
Na 0.0380 0.4439 0.2239 x2
Na 0.2198 0.9885 0.1226 x2
Na 0.3938 0.6950 0.6496 x2
Mg 0.0000 0.0000 0.5000 x1
Ni 0.3790 0.3044 0.8104 x2
O 0.1832 0.0124 0.7778 x2
O 0.2297 0.2923 0.5000 x2
O 0.3040 0.6188 0.0406 x2

The 12 most intense peaks (2θ from 10° to 80°), low angle first:
2θ/deg  d_spacing  intensity  h k l
17.53  5.060  675  0 1 -1
20.73  4.285  1000  1 -1 0
21.12  4.207  899  1 0 -1
32.35  2.768  475  1 -2 1
33.12  2.705  864  1 1 -2
35.71  2.514  705  2 0 1
36.90  2.436  629  1 2 0
38.23  2.354  430  1 -2 2
38.50  2.338  638  -2 1 1
45.35  2.000  477  2 2 -1
47.33  1.921  598  1 -1 3
48.23  1.887  475  0 3 0

No. 8
Simulated X-ray diffraction stick pattern
Compound: Na3MgNi2SbO6
Radiation: copper Kα
Structure: a structure optimized by DFT (GGA+U)
Peak positions follow from Bragg's law for the DFT cell and can differ from measured ones.

abc: 6.3189 10.6154 5.7451
angles: 90.00 90.79 90.00
Space group Cm (No. 8)
One atom of each set of equivalent atoms:
Na 0.0000 0.0000 0.0000 x2
Na 0.2212 0.2182 0.2537 x4
Mg 0.0274 0.5000 0.2109 x2
Ni 0.1947 0.3151 0.7941 x4
Sb 0.3610 0.0000 0.6349 x2
O 0.0464 0.3667 0.4859 x4
O 0.1418 0.5000 0.9021 x2
O 0.2240 0.0000 0.3070 x2
O 0.4606 0.2757 0.9490 x4

The 12 most intense peaks (2θ from 10° to 80°), low angle first:
2θ/deg  d_spacing  intensity  h k l
15.42  5.745  695  0 0 1
16.33  5.429  1000  1 1 0
22.40  3.969  839  1 1 -1
28.92  3.087  576  1 3 0
32.84  2.727  301  1 3 -1
33.02  2.713  849  1 3 1
33.77  2.654  249  0 4 0
35.17  2.551  289  1 1 -2
35.54  2.526  392  0 2 2
36.44  2.466  283  2 2 -1
42.85  2.111  359  2 0 2
50.72  1.800  250  1 1 3

No. 9
Simulated X-ray diffraction stick pattern
Compound: NaMgVO3
Radiation: copper Kα
Structure: a structure optimized by DFT (GGA+U)
Peak positions follow from Bragg's law for the DFT cell and can differ from measured ones.

abc: 5.5633 5.5633 8.1092
angles: 90.00 90.00 120.00
Space group R3m (No. 160, hexagonal axes)
One atom of each set of equivalent atoms:
Na 0.0000 0.0000 0.0000 x3
Mg 0.0000 0.0000 0.3370 x3
V 0.0000 0.0000 0.6606 x3
O 0.0038 0.5019 0.1403 x9

The 12 most intense peaks (2θ from 10° to 80°), low angle first:
2θ/deg  d_spacing  intensity  h k l
21.45  4.142  661  1 0 1
32.18  2.782  819  1 1 0
33.14  2.703  126  0 0 3
43.71  2.071  238  2 0 2
46.87  1.939  1000  1 1 3
51.43  1.777  91  2 1 1
57.37  1.606  148  3 0 0
59.60  1.551  84  0 2 4
67.32  1.391  231  2 2 0
67.88  1.381  286  0 3 3
77.12  1.237  69  2 2 3
78.72  1.216  120  1 1 6